# TiSO5
Simulated PXRD pattern, CuKα. Input: a crystal structure in the Materials Project, relaxed with GGA-PBE.
Kinematic intensities with the Lorentz-polarization factor, no thermal factor.

Peak list (10 most intense, 2θ from 10° to 80°, in order of rising 2θ)
two_theta	Rel. int.
15.8	16
20.7	34
21.4	39
22.9	100
26.7	29
27.4	42
32.8	15
46.7	12
50.3	11
54.5	12

Crystal structure
a = 11.2026 Å, b = 5.3086 Å, c = 6.6538 Å
α = 90.00°, β = 90.00°, γ = 90.00°
Space group Pnma (No. 62)
Asymmetric unit:
Ti  0.0560  0.2500  0.1571 x4
S  0.1559  0.7500  0.4756 x4
O  0.0000  0.0000  0.0000 x4
O  0.0900  0.7500  0.6701 x4
O  0.1285  0.5197  0.3630 x8
O  0.2146  0.2500  0.0244 x4

---

# Ca3Hg
Simulated PXRD pattern, CuKα. Input: a crystal structure in the Materials Project, relaxed with GGA-PBE.
Kinematic intensities with the Lorentz-polarization factor, no thermal factor.

Peak list (10 most intense, 2θ from 10° to 80°, in order of rising 2θ)
two_theta	Rel. int.
17.4	62
24.7	56
30.4	100
35.2	50
39.5	35
43.5	27
50.6	35
53.9	18
60.2	41
68.9	15

Crystal structure
a = 5.1002 Å, b = 5.1002 Å, c = 5.1002 Å
α = 90.00°, β = 90.00°, γ = 90.00°
Space group Pm-3m (No. 221)
Asymmetric unit:
Ca  0.0000  0.0000  0.5000 x3
Hg  0.5000  0.5000  0.5000 x1

---

# Tm2ZnRh
Simulated PXRD pattern, CuKα. Input: a crystal structure in the Materials Project, relaxed with GGA-PBE.
Kinematic intensities with the Lorentz-polarization factor, no thermal factor.

Peak list (9 most intense, 2θ from 10° to 80°, in order of rising 2θ)
two_theta	Rel. int.
22.3	1
25.9	12
36.9	100
43.5	1
45.6	4
53.2	17
60.0	5
66.4	35
78.5	11

Crystal structure
a = 6.8929 Å, b = 6.8929 Å, c = 6.8929 Å
α = 90.00°, β = 90.00°, γ = 90.00°
Space group Fm-3m (No. 225)
Asymmetric unit:
Tm  0.2500  0.2500  0.2500 x8
Zn  0.0000  0.0000  0.0000 x4
Rh  0.0000  0.0000  0.5000 x4